[1]
# Ca5Zn2Hg2
Theoretical powder diffractogram, Cu Kα (λ = 1.5418 Å). Input: a cell relaxed with GGA-PBE.
Kinematic intensities with the Lorentz-polarization factor, no thermal factor.

Structural model:
a = 16.722 Å, b = 7.915 Å, c = 7.949 Å
α = 90.00°, β = 90.00°, γ = 90.00°
Space group Cmce (No. 64)
One atom of each set of equivalent atoms:
Ca: 0.000 0.000 0.000 [4 per cell]
Ca: 0.138 0.177 0.326 [16 per cell]
Zn: 0.000 0.113 0.615 [8 per cell]
Hg: 0.209 0.000 0.000 [8 per cell]

Most intense lines, 2θ from 15° to 90°, by angle:
(0 0 2), 22.42 deg, rel. 553
(3 1 1), 22.49 deg, rel. 703
(2 0 2), 24.85 deg, rel. 477
(3 1 2), 29.83 deg, rel. 175
(4 2 0), 31.11 deg, rel. 1000
(0 2 2), 31.91 deg, rel. 460
(2 2 2), 33.71 deg, rel. 305
(7 1 1), 41.07 deg, rel. 407
(5 1 3), 45.13 deg, rel. 298
(5 3 1), 45.24 deg, rel. 291

***

[2]
# CaZr4Hg
Theoretical powder diffractogram, Cu Kα (λ = 1.5418 Å). Input: a cell relaxed with GGA-PBE.
Kinematic intensities with the Lorentz-polarization factor, no thermal factor.

Structural model:
a = 8.417 Å, b = 8.417 Å, c = 8.417 Å
α = 90.00°, β = 90.00°, γ = 90.00°
Space group F-43m (No. 216)
One atom of each set of equivalent atoms:
Ca: 0.000 0.000 0.000 [4 per cell]
Zr: 0.126 0.126 0.374 [16 per cell]
Hg: 0.250 0.250 0.750 [4 per cell]

Most intense lines, 2θ from 15° to 90°, by angle:
(1 1 1), 18.26 deg, rel. 137
(2 0 0), 21.11 deg, rel. 164
(2 2 0), 30.03 deg, rel. 324
(3 1 1), 35.37 deg, rel. 1000
(2 2 2), 37.00 deg, rel. 343
(4 2 2), 53.32 deg, rel. 130
(5 1 1), 56.84 deg, rel. 338
(4 4 0), 62.41 deg, rel. 251
(6 2 2), 74.82 deg, rel. 126
(5 5 3), 89.42 deg, rel. 218